Calculated X-ray powder pattern
Compound: In2SbS6
Radiation: λ = 1.5418 Å (Cu Kα)
Structure: a cell relaxed with PBE

Structural model:
a = 6.1644 Å, b = 6.1644 Å, c = 11.5527 Å
α = 90.00°, β = 90.00°, γ = 90.00°
Element x y z (fractional)
1 In 0.0000 0.0000 0.1666
2 In 0.0000 0.0000 0.8334
3 In 0.5000 0.5000 0.3334
4 In 0.5000 0.5000 0.6666
5 Sb 0.0000 0.0000 0.5000
6 Sb 0.5000 0.5000 0.0000
7 S 0.1913 0.1913 0.3374
8 S 0.1913 0.1913 0.6626
9 S 0.2001 0.2001 0.0000
10 S 0.2999 0.7001 0.5000
11 S 0.3087 0.6913 0.1626
12 S 0.3087 0.6913 0.8374
13 S 0.6913 0.3087 0.1626
14 S 0.6913 0.3087 0.8374
15 S 0.7001 0.2999 0.5000
16 S 0.7999 0.7999 0.0000
17 S 0.8087 0.8087 0.3374
18 S 0.8087 0.8087 0.6626

Largest 10 diffraction maxima, by angle, 2θ = 10–80°:
(hkl), d [Å], two_theta, intensity
1 1 0, 4.359, 20.37, 100
1 0 3, 3.266, 27.31, 54
1 1 3, 2.886, 30.99, 15
2 1 3, 2.242, 40.23, 78
2 2 0, 2.179, 41.43, 24
3 1 0, 1.949, 46.59, 14
3 0 3, 1.813, 50.33, 32
1 1 6, 1.761, 51.92, 16
2 2 6, 1.443, 64.59, 12
4 1 3, 1.394, 67.16, 12